Computed powder X-ray diffraction pattern
Compound: KNaIrBr6
Radiation: Cu Kα, 1.54184 Å
Structure: a GGA-PBE-relaxed structure
Kinematic intensities with the Lorentz-polarization factor, no thermal factor.

Cell and atoms:
```
KNaIrBr6
1.0
3.631 -6.297 0.000
3.631 6.297 0.000
-0.004 0.000 6.904
K Na Ir Br
1 1 1 6
direct
0.000 0.000 0.000
0.666 0.334 0.500
0.333 0.667 0.500
0.047 0.392 0.290
0.048 0.656 0.711
0.344 0.952 0.289
0.345 0.393 0.711
0.607 0.655 0.289
0.608 0.953 0.710
```

Principal peaks in the range 2θ = 10–80°, in order of falling intensity:
2theta	I (rel.)
14.07	100
27.75	94
19.08	81
35.88	71
12.82	53
40.10	40
43.12	32
46.72	26
46.36	21
38.72	20